No. 1
Structure and computed PXRD pattern of NaLiTiS3 (a GGA-PBE-relaxed structure; Cu Kα (λ = 1.5418 Å)).
No peak broadening, texture or thermal motion is included.

Most intense lines, 2θ from 10° to 90°, in order of rising 2θ:
2θ = 12.6°, intensity 34
2θ = 16.0°, intensity 20
2θ = 19.6°, intensity 18
2θ = 28.1°, intensity 12
2θ = 29.8°, intensity 11
2θ = 32.1°, intensity 54
2θ = 34.6°, intensity 100
2θ = 46.4°, intensity 27
2θ = 48.0°, intensity 14
2θ = 49.4°, intensity 30
2θ = 51.4°, intensity 16
2θ = 61.9°, intensity 14

Crystal structure
```
NaLiTiS3
1.0
7.028 0.000 0.000
0.000 3.557 0.000
-0.061 0.000 9.050
Na Li Ti S
2 2 2 6
direct
0.072 0.250 0.332 Na
0.928 0.750 0.668 Na
0.303 0.750 0.983 Li
0.697 0.250 0.017 Li
0.402 0.250 0.685 Ti
0.598 0.750 0.315 Ti
0.146 0.250 0.834 S
0.297 0.750 0.513 S
0.420 0.250 0.186 S
0.580 0.750 0.814 S
0.703 0.250 0.487 S
0.854 0.750 0.166 S
```


No. 2
Structure and computed PXRD pattern of NaLiSb2 (a GGA-PBE-relaxed structure; Cu Kα (λ = 1.5418 Å)).
No peak broadening, texture or thermal motion is included.

Most intense lines, 2θ from 10° to 90°, in order of rising 2θ:
2θ = 21.4°, intensity 100
2θ = 23.7°, intensity 14
2θ = 31.4°, intensity 40
2θ = 36.0°, intensity 58
2θ = 36.2°, intensity 53
2θ = 42.2°, intensity 17
2θ = 48.5°, intensity 12
2θ = 51.5°, intensity 19
2θ = 51.9°, intensity 18
2θ = 56.6°, intensity 14
2θ = 61.8°, intensity 11
2θ = 64.8°, intensity 19

Crystal structure
```
NaLiSb2
1.0
2.497 1.442 5.050
-2.497 1.442 5.050
0.000 -2.883 5.050
Na Li Sb
1 1 2
direct
0.000 0.000 0.000 Na
0.798 0.798 0.798 Li
0.228 0.228 0.228 Sb
0.421 0.421 0.421 Sb
```